(1)
Diffraction record for HfScTcPt. The powder X-ray diffraction pattern is computed, not measured: it uses DFT lattice parameters and positions (GGA-PBE) and Cu Ka.
Kinematic intensities with the Lorentz-polarization factor, no thermal factor.

Cell and atoms:
```
HfScTcPt
1.0
3.3090 0.0000 0.0000
0.0000 3.3090 0.0000
0.0000 0.0000 6.4245
Hf Sc Tc Pt
1 1 1 1
Direct
0.0000 0.0000 0.0000
0.0000 0.0000 0.4807
0.5000 0.5000 0.2314
0.5000 0.5000 0.7396
```

Most intense lines, 10 to 90 degrees two-theta, low angle first:
2θ/deg  intensity
13.78  28
30.39  20
38.47  53
39.08  100
41.05  8
55.54  18
57.37  8
70.00  36
71.21  17
83.97  11



(2)
Diffraction record for AlNi7Ge2. The powder X-ray diffraction pattern is computed, not measured: it uses DFT lattice parameters and positions (GGA-PBE) and Cu Ka.
Kinematic intensities with the Lorentz-polarization factor, no thermal factor.

Cell and atoms:
```
AlNi7Ge2
1.0
-1.8570 1.8570 9.1956
1.8570 -1.8570 9.1956
1.8570 1.8570 -9.1956
Al Ni Ge
1 7 2
Direct
0.0000 0.0000 0.0000
0.0916 0.5916 0.5000
0.2500 0.7500 0.5000
0.4084 0.9084 0.5000
0.5000 0.5000 0.0000
0.5916 0.0916 0.5000
0.7500 0.2500 0.5000
0.9084 0.4084 0.5000
0.3298 0.3298 0.0000
0.6702 0.6702 0.0000
```

Most intense lines, 10 to 90 degrees two-theta, low angle first:
2θ/deg  intensity
24.45  17
28.09  13
34.14  7
34.31  10
45.48  100
49.06  41
60.40  9
71.90  13
81.42  14
89.33  26



(3)
Diffraction record for LaSi3H12. The powder X-ray diffraction pattern is computed, not measured: it uses DFT lattice parameters and positions (GGA-PBE) and Cu Ka.
Kinematic intensities with the Lorentz-polarization factor, no thermal factor.

Cell and atoms:
```
LaSi3H12
1.0
3.3123 1.9123 9.4005
-3.3123 1.9123 9.4005
0.0000 -3.8247 9.4005
La Si H
2 6 24
Direct
0.0000 0.0000 0.0000
0.5000 0.5000 0.5000
0.1086 0.3464 0.8135
0.3135 0.8464 0.6086
0.3464 0.8135 0.1086
0.6086 0.3135 0.8464
0.8135 0.1086 0.3464
0.8464 0.6086 0.3135
0.0176 0.3496 0.3819
0.0353 0.7017 0.0593
0.0593 0.0353 0.7017
0.1778 0.2539 0.6849
0.1849 0.7539 0.6778
0.2017 0.5353 0.5593
0.2129 0.3092 0.9021
0.2539 0.6849 0.1778
0.3092 0.9021 0.2129
0.3496 0.3819 0.0176
0.3819 0.0176 0.3496
0.4021 0.8092 0.7129
0.5176 0.8819 0.8496
0.5353 0.5593 0.2017
0.5593 0.2017 0.5353
0.6778 0.1849 0.7539
0.6849 0.1778 0.2539
0.7017 0.0593 0.0353
0.7129 0.4021 0.8092
0.7539 0.6778 0.1849
0.8092 0.7129 0.4021
0.8496 0.5176 0.8819
0.8819 0.8496 0.5176
0.9021 0.2129 0.3092
```

Most intense lines, 10 to 90 degrees two-theta, low angle first:
2θ/deg  intensity
16.68  100
19.95  40
26.92  13
29.75  19
31.84  11
33.09  46
33.73  20
35.47  15
42.16  15
43.67  16